No. 1
# CsKTl2I4
Computed X-ray powder pattern, λ = 1.5418 Å (Cu Kα). Input: the PBE geometry in Alexandria.
Peak positions follow from Bragg's law for the DFT cell and can differ from measured ones.

Most intense lines, 2θ from 10° to 90°, by intensity:
- 2θ 24.34, I = 100
- 2θ 34.70, I = 79
- 2θ 56.26, I = 38
- 2θ 42.82, I = 22
- 2θ 62.16, I = 21
- 2θ 49.88, I = 14
- 2θ 10.49, I = 14
- 2θ 78.42, I = 9
- 2θ 83.60, I = 8
- 2θ 20.13, I = 7

Cell and atoms:
a = 8.9449 Å, b = 5.1722 Å, c = 8.9674 Å
α = 90.00°, β = 109.50°, γ = 90.00°
Space group P2/m (No. 10)
Unique sites:
Cs: 0.0000 0.0000 0.0000 (multiplicity 1)
K: 0.0000 0.5000 0.5000 (multiplicity 1)
Tl: 0.5000 0.0000 0.5000 (multiplicity 1)
Tl: 0.5000 0.5000 0.0000 (multiplicity 1)
I: 0.2594 0.0000 0.7431 (multiplicity 2)
I: 0.2670 0.5000 0.2670 (multiplicity 2)



No. 2
# Ta6Nb2In
Computed X-ray powder pattern, λ = 1.5418 Å (Cu Kα). Input: the PBE geometry in Alexandria.
Peak positions follow from Bragg's law for the DFT cell and can differ from measured ones.

Most intense lines, 2θ from 10° to 90°, by intensity:
- 2θ 34.40, I = 100
- 2θ 41.33, I = 73
- 2θ 39.75, I = 70
- 2θ 73.23, I = 28
- 2θ 68.73, I = 27
- 2θ 57.48, I = 24
- 2θ 66.54, I = 16
- 2θ 76.40, I = 12
- 2θ 41.06, I = 10
- 2θ 80.39, I = 9

Cell and atoms:
a = 4.5348 Å, b = 4.5348 Å, c = 8.9542 Å
α = 90.00°, β = 90.00°, γ = 90.00°
Space group P4/mmm (No. 123)
Unique sites:
Ta: 0.0000 0.0000 0.0000 (multiplicity 1)
Ta: 0.0000 0.5000 0.1906 (multiplicity 4)
Ta: 0.5000 0.5000 0.0000 (multiplicity 1)
Nb: 0.0000 0.0000 0.3578 (multiplicity 2)
In: 0.5000 0.5000 0.5000 (multiplicity 1)